Starting from a structure optimized by DFT (PBE+U), the powder diffractogram of Sr2NbCoO6 was simulated for CuKα.

Atomic structure:
abc: 5.6174 5.6413 18.6561
angles: 98.06 90.48 119.63
Space group P1 (No. 1)
Unique sites:
Sr (0.0000, 0.0000, 0.0000) (multiplicity 1)
Sr (0.1097, 0.2440, 0.3739) (multiplicity 1)
Sr (0.2517, 0.5066, 0.7471) (multiplicity 1)
Sr (0.3671, 0.7490, 0.1269) (multiplicity 1)
Sr (0.4886, 0.9964, 0.4952) (multiplicity 1)
Sr (0.6267, 0.2519, 0.8722) (multiplicity 1)
Sr (0.7370, 0.4980, 0.2501) (multiplicity 1)
Sr (0.8745, 0.7578, 0.6211) (multiplicity 1)
Nb (0.0513, 0.1246, 0.1894) (multiplicity 1)
Nb (0.3144, 0.6232, 0.9368) (multiplicity 1)
Nb (0.5668, 0.1398, 0.6835) (multiplicity 1)
Nb (0.7963, 0.6148, 0.4338) (multiplicity 1)
Co (0.1828, 0.3787, 0.5592) (multiplicity 1)
Co (0.4244, 0.8698, 0.3113) (multiplicity 1)
Co (0.6846, 0.3744, 0.0625) (multiplicity 1)
Co (0.9376, 0.8803, 0.8105) (multiplicity 1)
O (0.0202, 0.4872, 0.0040) (multiplicity 1)
O (0.1126, 0.7454, 0.3718) (multiplicity 1)
O (0.1171, 0.7302, 0.8739) (multiplicity 1)
O (0.1176, 0.2270, 0.8753) (multiplicity 1)
O (0.2418, 0.5041, 0.2517) (multiplicity 1)
O (0.2442, 0.9941, 0.2492) (multiplicity 1)
O (0.2656, 0.0293, 0.7472) (multiplicity 1)
O (0.3449, 0.2539, 0.1226) (multiplicity 1)
O (0.3801, 0.2807, 0.6214) (multiplicity 1)
O (0.3937, 0.7857, 0.6188) (multiplicity 1)
O (0.4701, 0.4731, 0.4947) (multiplicity 1)
O (0.5099, 0.9816, 0.0008) (multiplicity 1)
O (0.5179, 0.4755, 0.9943) (multiplicity 1)
O (0.6051, 0.7439, 0.3725) (multiplicity 1)
O (0.6058, 0.2331, 0.3712) (multiplicity 1)
O (0.6149, 0.7321, 0.8713) (multiplicity 1)
O (0.7333, 0.9928, 0.2527) (multiplicity 1)
O (0.7598, 0.0339, 0.7491) (multiplicity 1)
O (0.7654, 0.5380, 0.7449) (multiplicity 1)
O (0.8458, 0.2618, 0.1309) (multiplicity 1)
O (0.8564, 0.7622, 0.1239) (multiplicity 1)
O (0.8985, 0.2858, 0.6235) (multiplicity 1)
O (0.9728, 0.9702, 0.4999) (multiplicity 1)
O (0.9849, 0.4783, 0.4963) (multiplicity 1)

Largest 8 diffraction maxima, low angle first, 15° ≤ 2θ ≤ 90°:
| (hkl) | 2θ (°) | I (rel.) |
| --- | --- | --- |
| 1 1 -1 | 31.6 | 100 |
| 1 -2 1 | 31.8 | 99 |
| 2 -1 0 | 31.9 | 98 |
| 0 2 4 | 45.2 | 36 |
| 2 0 -6 | 45.5 | 35 |
| 2 -2 6 | 45.9 | 34 |
| -3 2 5 | 56.5 | 38 |
| 1 -3 7 | 56.8 | 38 |